[1]
Structure and calculated X-ray powder pattern of K6Na2Te2PtO26 (a DFT-relaxed cell (PBE, the Materials Project); Cu Kα X-rays).
Neutral-atom scattering factors, no anomalous dispersion.

Structural model:
abc: 11.6073 11.6073 8.0306
angles: 98.44 98.44 34.75
Sites, in units of the cell vectors:
K 0.0416 0.0416 0.1981
K 0.2071 0.2071 0.4203
K 0.3329 0.3329 0.0958
K 0.6671 0.6671 0.9042
K 0.7929 0.7929 0.5797
K 0.9584 0.9584 0.8019
Na 0.1102 0.1102 0.7851
Na 0.8898 0.8898 0.2149
Te 0.3821 0.3821 0.6742
Te 0.6179 0.6179 0.3258
Pt 0.5000 0.5000 0.5000
O 0.0455 0.0455 0.5377
O 0.1287 0.5442 0.7556
O 0.1335 0.3156 0.7822
O 0.1561 0.6831 0.0430
O 0.1602 0.1602 0.0605
O 0.2586 0.6256 0.5919
O 0.3156 0.1335 0.7822
O 0.3169 0.8439 0.9570
O 0.3276 0.3276 0.4658
O 0.3744 0.7414 0.4081
O 0.4369 0.4369 0.8958
O 0.4488 0.4488 0.2969
O 0.4558 0.8713 0.2444
O 0.5442 0.1287 0.7556
O 0.5512 0.5512 0.7031
O 0.5631 0.5631 0.1042
O 0.6256 0.2586 0.5919
O 0.6724 0.6724 0.5342
O 0.6831 0.1561 0.0430
O 0.6844 0.8665 0.2178
O 0.7414 0.3744 0.4081
O 0.8398 0.8398 0.9395
O 0.8439 0.3169 0.9570
O 0.8665 0.6844 0.2178
O 0.8713 0.4558 0.2444
O 0.9545 0.9545 0.4623

Main lines, in order of rising 2θ (10 to 80 degrees two-theta):
11.15 deg, I = 478
13.40 deg, I = 1000
14.76 deg, I = 685
17.86 deg, I = 841
21.91 deg, I = 315
25.69 deg, I = 763
30.14 deg, I = 346
30.82 deg, I = 288
31.83 deg, I = 598
40.40 deg, I = 339

---

[2]
Structure and calculated X-ray powder pattern of K3NaRe2O9 (a DFT-relaxed cell (PBE, the Materials Project); Cu Kα X-rays).
Neutral-atom scattering factors, no anomalous dispersion.

Structural model:
abc: 6.1257 6.1257 14.5512
angles: 90.00 90.00 120.00
Sites, in units of the cell vectors:
K 0.0000 0.0000 0.2500
K 0.0000 0.0000 0.7500
K 0.3333 0.6667 0.1165
K 0.3333 0.6667 0.3835
K 0.6667 0.3333 0.6165
K 0.6667 0.3333 0.8835
Na 0.0000 0.0000 0.0000
Na 0.0000 0.0000 0.5000
Re 0.3333 0.6667 0.6491
Re 0.3333 0.6667 0.8509
Re 0.6667 0.3333 0.1491
Re 0.6667 0.3333 0.3509
O 0.0616 0.5308 0.7500
O 0.1829 0.3658 0.5936
O 0.1829 0.3658 0.9064
O 0.1829 0.8171 0.5936
O 0.1829 0.8171 0.9064
O 0.3658 0.1829 0.0936
O 0.3658 0.1829 0.4064
O 0.4692 0.5308 0.7500
O 0.4692 0.9384 0.7500
O 0.5308 0.0616 0.2500
O 0.5308 0.4692 0.2500
O 0.6342 0.8171 0.5936
O 0.6342 0.8171 0.9064
O 0.8171 0.1829 0.0936
O 0.8171 0.1829 0.4064
O 0.8171 0.6342 0.0936
O 0.8171 0.6342 0.4064
O 0.9384 0.4692 0.2500

Main lines, in order of rising 2θ (10 to 80 degrees two-theta):
16.71 deg, I = 289
17.80 deg, I = 1000
24.47 deg, I = 154
29.16 deg, I = 581
29.78 deg, I = 274
35.17 deg, I = 220
38.42 deg, I = 233
42.16 deg, I = 203
46.31 deg, I = 133
55.67 deg, I = 158

---

[3]
Structure and calculated X-ray powder pattern of KNaSO4 (a DFT-relaxed cell (PBE, the Materials Project); Cu Kα X-rays).
Neutral-atom scattering factors, no anomalous dispersion.

Structural model:
abc: 5.6961 5.6961 7.2846
angles: 90.00 90.00 120.00
Sites, in units of the cell vectors:
K 0.0000 0.0000 0.0000
K 0.3333 0.6667 0.3248
Na 0.0000 0.0000 0.5000
Na 0.6667 0.3333 0.7000
S 0.3333 0.6667 0.7683
S 0.6667 0.3333 0.2298
O 0.1907 0.3814 0.6958
O 0.1907 0.8093 0.6958
O 0.3333 0.6667 0.9700
O 0.3819 0.1909 0.3017
O 0.6186 0.8093 0.6958
O 0.6667 0.3333 0.0266
O 0.8091 0.1909 0.3017
O 0.8091 0.6181 0.3017

Main lines, in order of rising 2θ (10 to 80 degrees two-theta):
21.76 deg, I = 382
24.44 deg, I = 146
30.51 deg, I = 651
31.41 deg, I = 1000
37.02 deg, I = 134
38.54 deg, I = 123
44.36 deg, I = 532
55.36 deg, I = 144
55.92 deg, I = 143
65.55 deg, I = 189